Record 1
Nd2Y5In: calculated PXRD pattern (Cu Kα), based on a DFT-relaxed cell (GGA-PBE, Alexandria).
Peak positions follow from Bragg's law for the DFT cell and can differ from measured ones.

Cell and atoms:
```
data_Nd2Y5In
_chemical_formula_sum 'Nd4 Y10 In2'
_space_group_name_H-M_alt 'P -1'
_space_group_IT_number 2
_cell_length_a 6.375
_cell_length_b 8.648
_cell_length_c 9.837
_cell_angle_alpha 102.55
_cell_angle_beta 98.00
_cell_angle_gamma 98.45
loop_
_space_group_symop_operation_xyz
'x,y,z'
'-x,-y,-z'
loop_
_atom_site_label
_atom_site_type_symbol
_atom_site_fract_x
_atom_site_fract_y
_atom_site_fract_z
Nd1 Nd 0.000 0.000 0.000
Nd2 Nd 0.000 0.000 0.500
Nd3 Nd 0.500 0.000 0.000
Nd4 Nd 0.500 0.500 0.500
Y1 Y 0.073 0.681 0.668
Y2 Y 0.199 0.693 0.331
Y3 Y 0.217 0.623 0.988
Y4 Y 0.305 0.273 0.786
Y5 Y 0.447 0.080 0.350
In1 In 0.347 0.355 0.151
```

Peak list (10 most intense, 2θ from 5° to 70°, in order of rising 2θ)
2θ 19.2, I = 14, hkl 0 1 -2; 2θ 31.4, I = 17, hkl 0 3 -1; 2θ 31.7, I = 15, hkl 2 1 -1; 2θ 32.0, I = 38, hkl 0 2 2; 2θ 32.4, I = 26, hkl 0 3 0; 2θ 32.6, I = 36, hkl 2 1 0; 2θ 32.7, I = 100, hkl 1 -1 3; 2θ 32.9, I = 31, hkl -1 1 3; 2θ 33.2, I = 25, hkl -2 1 2; 2θ 34.0, I = 24, hkl 1 2 -3


Record 2
TiCl3: calculated PXRD pattern (Cu Kα), based on a DFT-relaxed cell (GGA-PBE, Alexandria).
Peak positions follow from Bragg's law for the DFT cell and can differ from measured ones.

Cell and atoms:
```
data_TiCl3
_chemical_formula_sum 'Ti6 Cl18'
_space_group_name_H-M_alt 'R -3'
_space_group_IT_number 148
_space_group_name_Hall '-R 3'
_cell_length_a 6.0836
_cell_length_b 6.0836
_cell_length_c 19.6291
_cell_angle_alpha 90.00
_cell_angle_beta 90.00
_cell_angle_gamma 120.00
loop_
_atom_site_label
_atom_site_type_symbol
_atom_site_fract_x
_atom_site_fract_y
_atom_site_fract_z
Ti1 Ti 0.0000 0.0000 0.1667
Cl1 Cl 0.0000 0.3502 0.4283
```

Peak list (10 most intense, 2θ from 5° to 70°, in order of rising 2θ)
2θ 13.5, I = 84, hkl 0 0 3; 2θ 17.4, I = 24, hkl 1 0 1; 2θ 19.1, I = 17, hkl 0 1 2; 2θ 32.5, I = 100, hkl 1 1 3; 2θ 40.5, I = 59, hkl 1 1 6; 2θ 51.6, I = 28, hkl 2 -1 9; 2θ 52.1, I = 27, hkl 3 0 0; 2θ 54.1, I = 10, hkl 3 0 3; 2θ 62.7, I = 11, hkl 4 -2 3; 2θ 68.0, I = 10, hkl 4 -2 6


Record 3
Rb2HfNiS4: calculated PXRD pattern (Cu Kα), based on a DFT-relaxed cell (GGA-PBE, Alexandria).
Peak positions follow from Bragg's law for the DFT cell and can differ from measured ones.

Cell and atoms:
```
data_Rb2HfNiS4
_chemical_formula_sum 'Rb4 Hf2 Ni2 S8'
_space_group_name_H-M_alt 'P m m n'
_space_group_IT_number 59
_cell_length_a 7.295
_cell_length_b 8.058
_cell_length_c 8.109
_cell_angle_alpha 90.00
_cell_angle_beta 90.00
_cell_angle_gamma 90.00
loop_
_space_group_symop_operation_xyz
'x,y,z'
'-x,-y,-z'
'-x+1/2,-y+1/2,z'
'x+1/2,y+1/2,-z'
'x+1/2,-y,-z'
'-x+1/2,y,z'
'-x,y+1/2,-z'
'x,-y+1/2,z'
loop_
_atom_site_label
_atom_site_type_symbol
_atom_site_fract_x
_atom_site_fract_y
_atom_site_fract_z
Rb1 Rb 0.250 0.001 0.238
Hf1 Hf 0.250 0.750 0.663
Ni1 Ni 0.250 0.250 0.681
S1 S 0.008 0.250 0.511
S2 S 0.250 0.004 0.823
```

Peak list (10 most intense, 2θ from 5° to 70°, in order of rising 2θ)
2θ 10.9, I = 43, hkl 0 0 1; 2θ 16.4, I = 34, hkl 1 1 0; 2θ 21.9, I = 30, hkl 0 0 2; 2θ 24.4, I = 56, hkl 2 0 0; 2θ 24.7, I = 40, hkl 0 2 1; 2θ 27.6, I = 100, hkl 1 2 1; 2θ 33.0, I = 49, hkl 2 0 2; 2θ 33.7, I = 30, hkl 1 2 2; 2θ 45.0, I = 45, hkl 0 4 0; 2θ 47.6, I = 37, hkl 2 2 3


Record 4
GdPdO: calculated PXRD pattern (Cu Kα), based on a DFT-relaxed cell (GGA-PBE, Alexandria).
Peak positions follow from Bragg's law for the DFT cell and can differ from measured ones.

Cell and atoms:
```
data_GdPdO
_chemical_formula_sum 'Gd2 Pd2 O2'
_space_group_name_H-M_alt 'I 4 m m'
_space_group_IT_number 107
_space_group_name_Hall 'I 4 -2'
_cell_length_a 3.950
_cell_length_b 3.950
_cell_length_c 7.149
_cell_angle_alpha 90.00
_cell_angle_beta 90.00
_cell_angle_gamma 90.00
loop_
_atom_site_label
_atom_site_type_symbol
_atom_site_fract_x
_atom_site_fract_y
_atom_site_fract_z
Gd1 Gd 0.000 0.000 0.000
Pd1 Pd 0.000 0.000 0.397
O1 O 0.000 0.000 0.705
```

Peak list (10 most intense, 2θ from 5° to 70°, in order of rising 2θ)
2θ 24.9, I = 46, hkl 0 0 2; 2θ 25.8, I = 28, hkl 1 0 1; 2θ 32.0, I = 100, hkl 1 1 0; 2θ 41.0, I = 50, hkl 1 1 2; 2θ 44.4, I = 56, hkl 1 0 3; 2θ 46.0, I = 36, hkl 2 0 0; 2θ 53.0, I = 24, hkl 2 0 2; 2θ 65.8, I = 34, hkl 2 1 3; 2θ 67.0, I = 11, hkl 2 2 0; 2θ 70.0, I = 17, hkl 1 0 5


Record 5
Ac6Sm5Y: calculated PXRD pattern (Cu Kα), based on a DFT-relaxed cell (GGA-PBE, Alexandria).
Peak positions follow from Bragg's law for the DFT cell and can differ from measured ones.

Cell and atoms:
```
data_Ac6Sm5Y
_chemical_formula_sum 'Ac12 Sm10 Y2'
_space_group_name_H-M_alt 'I m m m'
_space_group_IT_number 71
_space_group_name_Hall '-I 2 2'
_cell_length_a 5.484
_cell_length_b 10.386
_cell_length_c 16.377
_cell_angle_alpha 90.00
_cell_angle_beta 90.00
_cell_angle_gamma 90.00
loop_
_atom_site_label
_atom_site_type_symbol
_atom_site_fract_x
_atom_site_fract_y
_atom_site_fract_z
Ac1 Ac 0.000 0.249 0.000
Ac2 Ac 0.000 0.251 0.334
Sm1 Sm 0.000 0.000 0.167
Sm2 Sm 0.000 0.000 0.500
Sm3 Sm 0.000 0.500 0.166
Y1 Y 0.000 0.500 0.500
```

Peak list (10 most intense, 2θ from 5° to 70°, in order of rising 2θ)
2θ 28.8, I = 100, hkl 1 2 3; 2θ 32.7, I = 18, hkl 2 0 0; 2θ 32.8, I = 18, hkl 0 0 6; 2θ 34.5, I = 16, hkl 0 4 0; 2θ 47.0, I = 13, hkl 2 0 6; 2θ 48.3, I = 12, hkl 2 4 0; 2θ 55.9, I = 16, hkl 3 2 3; 2θ 56.1, I = 16, hkl 1 2 9; 2θ 58.4, I = 14, hkl 1 6 3; 2θ 59.6, I = 13, hkl 2 4 6


Record 6
Y2Cu5Pd5: calculated PXRD pattern (Cu Kα), based on a DFT-relaxed cell (GGA-PBE, Alexandria).
Peak positions follow from Bragg's law for the DFT cell and can differ from measured ones.

Cell and atoms:
```
data_Y2Cu5Pd5
_chemical_formula_sum 'Y2 Cu5 Pd5'
_space_group_name_H-M_alt 'P m m m'
_space_group_IT_number 47
_cell_length_a 4.383
_cell_length_b 5.044
_cell_length_c 9.007
_cell_angle_alpha 90.00
_cell_angle_beta 90.00
_cell_angle_gamma 90.00
loop_
_space_group_symop_operation_xyz
'x,y,z'
'-x,-y,-z'
'-x,-y,z'
'x,y,-z'
'x,-y,-z'
'-x,y,z'
'-x,y,-z'
'x,-y,z'
loop_
_atom_site_label
_atom_site_type_symbol
_atom_site_fract_x
_atom_site_fract_y
_atom_site_fract_z
Y1 Y 0.000 0.000 0.000
Y2 Y 0.000 0.500 0.500
Cu1 Cu 0.500 0.000 0.500
Cu2 Cu 0.500 0.250 0.257
Pd1 Pd 0.000 0.000 0.335
Pd2 Pd 0.000 0.500 0.177
Pd3 Pd 0.500 0.500 0.000
```

Peak list (10 most intense, 2θ from 5° to 70°, in order of rising 2θ)
2θ 20.2, I = 27, hkl 0 1 1; 2θ 34.8, I = 23, hkl 0 1 3; 2θ 35.6, I = 15, hkl 0 2 0; 2θ 40.6, I = 100, hkl 1 1 3; 2θ 41.0, I = 12, hkl 0 2 2; 2θ 41.2, I = 44, hkl 2 0 0; 2θ 41.3, I = 39, hkl 1 2 0; 2θ 46.2, I = 30, hkl 1 2 2; 2θ 55.0, I = 12, hkl 2 1 3; 2θ 67.3, I = 22, hkl 1 3 3


Record 7
Pm4PI5: calculated PXRD pattern (Cu Kα), based on a DFT-relaxed cell (GGA-PBE, Alexandria).
Peak positions follow from Bragg's law for the DFT cell and can differ from measured ones.

Cell and atoms:
```
data_Pm4PI5
_chemical_formula_sum 'Pm8 P2 I10'
_space_group_name_H-M_alt 'C 1 2/m 1'
_space_group_IT_number 12
_cell_length_a 19.400
_cell_length_b 4.222
_cell_length_c 8.940
_cell_angle_alpha 90.00
_cell_angle_beta 102.77
_cell_angle_gamma 90.00
loop_
_space_group_symop_operation_xyz
'x,y,z'
'-x,-y,-z'
'-x,y,-z'
'x,-y,z'
'x+1/2,y+1/2,z'
'-x+1/2,-y+1/2,-z'
'-x+1/2,y+1/2,-z'
'x+1/2,-y+1/2,z'
loop_
_atom_site_label
_atom_site_type_symbol
_atom_site_fract_x
_atom_site_fract_y
_atom_site_fract_z
Pm1 Pm 0.001 0.000 0.292
Pm2 Pm 0.144 0.500 0.572
P1 P 0.000 0.500 0.500
I1 I 0.000 0.500 0.000
I2 I 0.166 0.000 0.840
I3 I 0.171 0.000 0.323
```

Peak list (10 most intense, 2θ from 5° to 70°, in order of rising 2θ)
2θ 10.1, I = 20, hkl 0 0 1; 2θ 28.3, I = 48, hkl 6 0 0; 2θ 28.6, I = 16, hkl 3 1 1; 2θ 29.1, I = 100, hkl 1 1 -2; 2θ 31.7, I = 18, hkl 5 1 0; 2θ 40.4, I = 17, hkl 2 0 -4; 2θ 40.9, I = 33, hkl 5 1 2; 2θ 41.2, I = 32, hkl 7 1 -2; 2θ 42.8, I = 19, hkl 0 2 0; 2θ 52.1, I = 19, hkl 6 2 0


Record 8
Sm12TcBi6: calculated PXRD pattern (Cu Kα), based on a DFT-relaxed cell (GGA-PBE, Alexandria).
Peak positions follow from Bragg's law for the DFT cell and can differ from measured ones.

Cell and atoms:
```
data_Sm12TcBi6
_chemical_formula_sum 'Sm36 Tc3 Bi18'
_space_group_name_H-M_alt 'R -3'
_space_group_IT_number 148
_space_group_name_Hall '-R 3'
_cell_length_a 13.4661
_cell_length_b 13.4661
_cell_length_c 12.5727
_cell_angle_alpha 90.00
_cell_angle_beta 90.00
_cell_angle_gamma 120.00
loop_
_atom_site_label
_atom_site_type_symbol
_atom_site_fract_x
_atom_site_fract_y
_atom_site_fract_z
Sm1 Sm 0.0294 0.1887 0.3877
Sm2 Sm 0.0664 0.1910 0.8788
Tc1 Tc 0.0000 0.0000 0.0000
Bi1 Bi 0.0449 0.4238 0.3049
```

Peak list (10 most intense, 2θ from 5° to 70°, in order of rising 2θ)
2θ 21.2, I = 25, hkl 0 0 3; 2θ 21.4, I = 74, hkl 2 1 1; 2θ 28.5, I = 39, hkl 1 3 1; 2θ 29.4, I = 50, hkl 1 0 4; 2θ 31.1, I = 100, hkl 3 1 2; 2θ 31.4, I = 24, hkl 3 0 3; 2θ 35.1, I = 63, hkl 2 1 4; 2θ 35.3, I = 41, hkl 1 4 0; 2θ 36.5, I = 63, hkl 5 -3 2; 2θ 41.6, I = 33, hkl 2 4 1


Record 9
TaMo4Se8: calculated PXRD pattern (Cu Kα), based on a DFT-relaxed cell (GGA-PBE, Alexandria).
Peak positions follow from Bragg's law for the DFT cell and can differ from measured ones.

Cell and atoms:
```
data_TaMo4Se8
_chemical_formula_sum 'Ta3 Mo12 Se24'
_space_group_name_H-M_alt 'R -3 m'
_space_group_IT_number 166
_space_group_name_Hall '-R 3 2"'
_cell_length_a 7.0862
_cell_length_b 7.0862
_cell_length_c 18.3504
_cell_angle_alpha 90.00
_cell_angle_beta 90.00
_cell_angle_gamma 120.00
loop_
_atom_site_label
_atom_site_type_symbol
_atom_site_fract_x
_atom_site_fract_y
_atom_site_fract_z
Ta1 Ta 0.0000 0.0000 0.0000
Mo1 Mo 0.0000 0.0000 0.5000
Mo2 Mo 0.0000 0.5000 0.5000
Se1 Se 0.0000 0.0000 0.2528
Se2 Se 0.0111 0.5056 0.2549
```

Peak list (10 most intense, 2θ from 5° to 70°, in order of rising 2θ)
2θ 14.5, I = 6, hkl 0 0 3; 2θ 15.2, I = 13, hkl 1 0 1; 2θ 17.4, I = 12, hkl 0 1 2; 2θ 29.1, I = 7, hkl 1 1 3; 2θ 29.5, I = 6, hkl 0 2 1; 2θ 35.2, I = 100, hkl 0 2 4; 2θ 49.6, I = 36, hkl 2 0 8; 2θ 51.6, I = 33, hkl 2 2 0; 2θ 60.5, I = 7, hkl 0 0 12; 2θ 64.0, I = 17, hkl 4 0 4


Record 10
BaNiSn3: calculated PXRD pattern (Cu Kα), based on a DFT-relaxed cell (GGA-PBE, Alexandria).
Peak positions follow from Bragg's law for the DFT cell and can differ from measured ones.

Cell and atoms:
```
data_BaNiSn3
_chemical_formula_sum 'Ba2 Ni2 Sn6'
_space_group_name_H-M_alt 'P m n 21'
_space_group_IT_number 31
_cell_length_a 6.837
_cell_length_b 6.406
_cell_length_c 6.223
_cell_angle_alpha 90.00
_cell_angle_beta 90.00
_cell_angle_gamma 90.00
loop_
_space_group_symop_operation_xyz
'x,y,z'
'-x+1/2,-y,z+1/2'
'-x,y,z'
'x+1/2,-y,z+1/2'
loop_
_atom_site_label
_atom_site_type_symbol
_atom_site_fract_x
_atom_site_fract_y
_atom_site_fract_z
Ba1 Ba 0.000 0.135 0.000
Ni1 Ni 0.000 0.593 0.752
Sn1 Sn 0.000 0.848 0.449
Sn2 Sn 0.243 0.350 0.547
```

Peak list (10 most intense, 2θ from 5° to 70°, in order of rising 2θ)
2θ 28.7, I = 33, hkl 0 0 2; 2θ 29.6, I = 27, hkl 2 1 0; 2θ 31.4, I = 82, hkl 0 2 1; 2θ 33.0, I = 100, hkl 2 1 1; 2θ 41.7, I = 36, hkl 2 1 2; 2θ 50.4, I = 21, hkl 2 3 0; 2θ 52.6, I = 19, hkl 0 2 3; 2θ 53.6, I = 27, hkl 4 0 0; 2θ 59.0, I = 22, hkl 2 3 2; 2θ 63.5, I = 22, hkl 4 2 1


Record 11
HoGeP: calculated PXRD pattern (Cu Kα), based on a DFT-relaxed cell (GGA-PBE, Alexandria).
Peak positions follow from Bragg's law for the DFT cell and can differ from measured ones.

Cell and atoms:
```
data_HoGeP
_chemical_formula_sum 'Ho6 Ge6 P6'
_space_group_name_H-M_alt 'R -3 m'
_space_group_IT_number 166
_space_group_name_Hall '-R 3 2"'
_cell_length_a 4.7584
_cell_length_b 4.7584
_cell_length_c 21.4825
_cell_angle_alpha 90.00
_cell_angle_beta 90.00
_cell_angle_gamma 120.00
loop_
_atom_site_label
_atom_site_type_symbol
_atom_site_fract_x
_atom_site_fract_y
_atom_site_fract_z
Ho1 Ho 0.0000 0.0000 0.0941
Ge1 Ge 0.0000 0.0000 0.3331
P1 P 0.0000 0.0000 0.2226
```

Peak list (10 most intense, 2θ from 5° to 70°, in order of rising 2θ)
2θ 22.0, I = 59, hkl 1 0 1; 2θ 27.3, I = 55, hkl 1 0 4; 2θ 30.0, I = 78, hkl 0 1 5; 2θ 36.5, I = 36, hkl 1 0 7; 2θ 37.7, I = 18, hkl 0 0 9; 2θ 37.8, I = 100, hkl 1 1 0; 2θ 49.0, I = 21, hkl 2 0 5; 2θ 54.5, I = 38, hkl 1 1 9; 2θ 63.5, I = 19, hkl 1 2 5; 2θ 68.3, I = 17, hkl 3 0 0